For Zr6Mn2Au, a GGA-PBE-relaxed structure gives the theoretical X-ray powder pattern in this record (copper Kα).
No peak broadening, texture or thermal motion is included.

Structure:
```
18
Lattice="-4.319 4.402 4.740 4.319 -4.402 4.740 4.319 4.402 -4.740" Properties=species:S:1:pos:R:3 pbc="T T T"
Zr 4.319 2.616 -2.429
Zr 2.419 1.705 0.000
Zr 6.220 1.705 0.000
Zr 1.648 4.402 -1.666
Zr 2.671 0.000 3.074
Zr 0.000 1.786 2.311
Zr 4.319 2.616 2.429
Zr 1.648 4.402 1.666
Zr 2.671 0.000 6.407
Zr -1.901 2.697 4.740
Zr 1.901 2.697 4.740
Zr 0.000 1.786 7.170
Mn 4.319 0.000 1.032
Mn 0.000 2.953 0.000
Mn 0.000 5.851 0.000
Mn 0.000 4.402 3.709
Au 0.000 0.000 0.000
Au 0.000 0.000 4.740
```

Peak list (12 most intense, 10 to 80 degrees two-theta, by angle)
- 23.67 deg, intensity 15
- 32.72 deg, intensity 26
- 34.71 deg, intensity 100
- 36.68 deg, intensity 19
- 37.52 deg, intensity 56
- 37.96 deg, intensity 18
- 38.28 deg, intensity 24
- 40.79 deg, intensity 17
- 41.01 deg, intensity 13
- 41.83 deg, intensity 21
- 50.93 deg, intensity 13
- 65.74 deg, intensity 19